No. 1
# Tl2Ge2Se5
Computed X-ray diffraction stick pattern, Cu Kα X-rays. Input: a DFT-relaxed cell (GGA-PBE, Alexandria).
Peak positions follow from Bragg's law for the DFT cell and can differ from measured ones.

Unit cell a=11.341 b=11.341 c=9.240 alpha=100.91 beta=100.91 gamma=89.71
Sites, in units of the cell vectors:
Tl: 0.071 0.206 0.093
Tl: 0.201 0.453 0.603
Tl: 0.206 0.071 0.593
Tl: 0.453 0.201 0.103
Tl: 0.547 0.799 0.897
Tl: 0.794 0.929 0.407
Tl: 0.799 0.547 0.397
Tl: 0.929 0.794 0.907
Ge: 0.134 0.731 0.392
Ge: 0.267 0.525 0.093
Ge: 0.269 0.866 0.108
Ge: 0.475 0.733 0.407
Ge: 0.525 0.267 0.593
Ge: 0.731 0.134 0.892
Ge: 0.733 0.475 0.907
Ge: 0.866 0.269 0.608
Se: 0.008 0.243 0.455
Se: 0.107 0.534 0.236
Se: 0.108 0.892 0.250
Se: 0.240 0.675 0.937
Se: 0.242 0.338 0.933
Se: 0.243 0.008 0.955
Se: 0.325 0.760 0.563
Se: 0.338 0.242 0.433
Se: 0.463 0.537 0.250
Se: 0.466 0.893 0.264
Se: 0.534 0.107 0.736
Se: 0.537 0.463 0.750
Se: 0.662 0.758 0.567
Se: 0.675 0.240 0.437
Se: 0.757 0.992 0.045
Se: 0.758 0.662 0.067
Se: 0.760 0.325 0.063
Se: 0.892 0.108 0.750
Se: 0.893 0.466 0.764
Se: 0.992 0.757 0.545

Main lines, in order of rising 2θ (5° ≤ 2θ ≤ 70°):
2θ = 19.99°, I = 88
2θ = 22.93°, I = 49
2θ = 24.15°, I = 91
2θ = 27.80°, I = 62
2θ = 28.16°, I = 49
2θ = 28.47°, I = 51
2θ = 29.68°, I = 100
2θ = 30.20°, I = 56
2θ = 30.96°, I = 65
2θ = 34.69°, I = 38
2θ = 48.14°, I = 78
2θ = 50.16°, I = 68


No. 2
# Rb4NaAu3
Computed X-ray diffraction stick pattern, Cu Kα X-rays. Input: a DFT-relaxed cell (GGA-PBE, Alexandria).
Peak positions follow from Bragg's law for the DFT cell and can differ from measured ones.

Unit cell a=10.042 b=10.042 c=10.042 alpha=96.41 beta=96.41 gamma=140.97
Sites, in units of the cell vectors:
Rb: 0.084 0.782 0.866
Rb: 0.218 0.084 0.303
Rb: 0.282 0.584 0.866
Rb: 0.416 0.282 0.697
Rb: 0.584 0.718 0.303
Rb: 0.718 0.416 0.134
Rb: 0.782 0.916 0.697
Rb: 0.916 0.218 0.134
Na: 0.250 0.750 0.500
Na: 0.750 0.250 0.500
Au: 0.145 0.355 0.500
Au: 0.250 0.250 0.000
Au: 0.355 0.855 0.210
Au: 0.645 0.145 0.790
Au: 0.750 0.750 0.000
Au: 0.855 0.645 0.500

Main lines, in order of rising 2θ (5° ≤ 2θ ≤ 70°):
2θ = 19.88°, I = 50
2θ = 20.99°, I = 61
2θ = 27.46°, I = 81
2θ = 29.83°, I = 100
2θ = 30.59°, I = 67
2θ = 32.72°, I = 27
2θ = 37.99°, I = 54
2θ = 38.63°, I = 51
2θ = 39.21°, I = 40
2θ = 55.28°, I = 31
2θ = 55.76°, I = 43
2θ = 56.68°, I = 30


No. 3
# Nb4IrRu4
Computed X-ray diffraction stick pattern, Cu Kα X-rays. Input: a DFT-relaxed cell (GGA-PBE, Alexandria).
Peak positions follow from Bragg's law for the DFT cell and can differ from measured ones.

Unit cell a=6.340 b=6.340 c=6.340 alpha=95.59 beta=95.59 gamma=143.62
Sites, in units of the cell vectors:
Nb: 0.000 0.312 0.312
Nb: 0.000 0.688 0.688
Nb: 0.312 0.000 0.312
Nb: 0.688 0.000 0.688
Ir: 0.000 0.000 0.000
Ru: 0.336 0.336 0.671
Ru: 0.336 0.664 0.000
Ru: 0.664 0.336 0.000
Ru: 0.664 0.664 0.329

Main lines, in order of rising 2θ (5° ≤ 2θ ≤ 70°):
2θ = 14.71°, I = 13
2θ = 24.80°, I = 3
2θ = 32.62°, I = 2
2θ = 39.04°, I = 100
2θ = 45.16°, I = 32
2θ = 45.85°, I = 16
2θ = 47.75°, I = 2
2θ = 48.41°, I = 1
2θ = 49.78°, I = 6
2θ = 61.59°, I = 1
2θ = 65.78°, I = 10
2θ = 66.31°, I = 20